Entry 1:
# HfScRu2
Theoretical powder diffraction line list, copper Kα. Input: the PBE geometry in the Materials Project.
Lines closer than 0.1° are merged.

Structure:
Cell: 6.453 6.453 6.453 Å, 90.00 90.00 90.00°
Space group Fm-3m (No. 225)
Unique sites:
Hf: 0.000 0.000 0.000 x4
Sc: 0.000 0.000 0.500 x4
Ru: 0.250 0.250 0.250 x8

Top 6 peaks for 2θ = 10–90°, most intense first:
- 39.50 deg, I 100, (2 2 0)
- 71.64 deg, I 34, (4 2 2)
- 23.88 deg, I 23, (1 1 1)
- 57.09 deg, I 17, (4 0 0)
- 46.69 deg, I 12, (3 1 1)
- 85.03 deg, I 11, (4 4 0)

Entry 2:
# Dy4Sb3
Theoretical powder diffraction line list, copper Kα. Input: the PBE geometry in the Materials Project.
Lines closer than 0.1° are merged.

Structure:
Cell: 9.198 9.198 9.198 Å, 90.00 90.00 90.00°
Space group I-43d (No. 220)
Unique sites:
Dy: 0.072 0.428 0.572 x16
Sb: 0.000 0.250 0.875 x12

Top 6 peaks for 2θ = 10–90°, most intense first:
- 30.74 deg, I 100, (3 1 0)
- 36.55 deg, I 69, (3 2 1)
- 62.22 deg, I 25, (6 1 1)
- 50.60 deg, I 24, (4 3 1)
- 48.49 deg, I 19, (4 2 2)
- 65.80 deg, I 15, (5 4 1)